Calculated powder diffraction line list of Ho3Ge13Ir4 for Cu Ka, from the GGA-PBE geometry in the Materials Project.

Structure:
```
data_Ho3Ge13Ir4
_chemical_formula_sum 'Ho6 Ge26 Ir8'
_space_group_name_H-M_alt 'P m -3 n'
_space_group_IT_number 223
_space_group_name_Hall '-P 4n 2 3'
_cell_length_a 9.034
_cell_length_b 9.034
_cell_length_c 9.034
_cell_angle_alpha 90.00
_cell_angle_beta 90.00
_cell_angle_gamma 90.00
loop_
_atom_site_label
_atom_site_fract_x
_atom_site_fract_y
_atom_site_fract_z
Ho1 0.000 0.250 0.500
Ge1 0.000 0.000 0.000
Ge2 0.000 0.309 0.146
Ir1 0.250 0.250 0.250
```

The 10 most intense peaks (2θ from 10° to 90°), low angle first:
2θ (°)  d [Å]  I (rel.)
19.7  4.517  45
27.9  3.194  26
34.4  2.608  55
35.8  2.506  100
37.2  2.415  41
39.9  2.259  54
44.9  2.020  39
49.4  1.844  51
57.7  1.597  22
68.9  1.362  40



Calculated powder diffraction line list of Ho5Ge10Ir4 for Cu Ka, from the GGA-PBE geometry in the Materials Project.

Structure:
```
data_Ho5Ge10Ir4
_chemical_formula_sum 'Ho10 Ge20 Ir8'
_space_group_name_H-M_alt 'P 4/m b m'
_space_group_IT_number 127
_space_group_name_Hall '-P 4 2ab'
_cell_length_a 13.031
_cell_length_b 13.031
_cell_length_c 4.314
_cell_angle_alpha 90.00
_cell_angle_beta 90.00
_cell_angle_gamma 90.00
loop_
_atom_site_label
_atom_site_fract_x
_atom_site_fract_y
_atom_site_fract_z
Ho1 0.000 0.000 0.000
Ho2 0.115 0.385 0.500
Ho3 0.173 0.673 0.500
Ge1 0.008 0.844 0.500
Ge2 0.067 0.567 0.000
Ge3 0.164 0.199 0.000
Ir1 0.019 0.753 0.000
```

The 10 most intense peaks (2θ from 10° to 90°), low angle first:
2θ (°)  d [Å]  I (rel.)
19.3  4.607  22
32.3  2.771  27
34.5  2.600  100
35.2  2.552  59
35.9  2.502  70
41.9  2.157  54
42.2  2.142  21
43.9  2.060  24
44.6  2.034  31
67.9  1.380  22



Calculated powder diffraction line list of Ho4Ge6Ir7 for Cu Ka, from the GGA-PBE geometry in the Materials Project.

Structure:
```
data_Ho4Ge6Ir7
_chemical_formula_sum 'Ho8 Ge12 Ir14'
_space_group_name_H-M_alt 'I m -3 m'
_space_group_IT_number 229
_space_group_name_Hall '-I 4 2 3'
_cell_length_a 8.394
_cell_length_b 8.394
_cell_length_c 8.394
_cell_angle_alpha 90.00
_cell_angle_beta 90.00
_cell_angle_gamma 90.00
loop_
_atom_site_label
_atom_site_fract_x
_atom_site_fract_y
_atom_site_fract_z
Ho1 0.250 0.250 0.250
Ge1 0.000 0.000 0.317
Ir1 0.000 0.000 0.000
Ir2 0.000 0.250 0.500
```

The 10 most intense peaks (2θ from 10° to 90°), low angle first:
2θ (°)  d [Å]  I (rel.)
26.0  3.427  24
30.1  2.968  12
37.1  2.423  100
40.2  2.243  41
43.1  2.099  70
51.0  1.790  19
62.6  1.484  40
75.1  1.265  30
77.1  1.238  12
79.0  1.212  12



Calculated powder diffraction line list of Ho4Ge9Ir13 for Cu Ka, from the GGA-PBE geometry in the Materials Project.

Structure:
```
data_Ho4Ge9Ir13
_chemical_formula_sum 'Ho8 Ge18 Ir26'
_space_group_name_H-M_alt 'P m m n'
_space_group_IT_number 59
_cell_length_a 4.001
_cell_length_b 11.317
_cell_length_c 19.515
_cell_angle_alpha 90.00
_cell_angle_beta 90.00
_cell_angle_gamma 90.00
loop_
_space_group_symop_operation_xyz
'x,y,z'
'-x,-y,-z'
'-x+1/2,-y+1/2,z'
'x+1/2,y+1/2,-z'
'x+1/2,-y,-z'
'-x+1/2,y,z'
'-x,y+1/2,-z'
'x,-y+1/2,z'
loop_
_atom_site_label
_atom_site_fract_x
_atom_site_fract_y
_atom_site_fract_z
Ho1 0.250 0.059 0.208
Ho2 0.250 0.250 0.023
Ho3 0.250 0.750 0.519
Ge1 0.250 0.070 0.415
Ge2 0.250 0.120 0.731
Ge3 0.250 0.250 0.601
Ge4 0.250 0.564 0.919
Ge5 0.250 0.750 0.100
Ge6 0.250 0.750 0.735
Ir1 0.250 0.060 0.540
Ir2 0.250 0.126 0.858
Ir3 0.250 0.250 0.342
Ir4 0.250 0.550 0.046
Ir5 0.250 0.567 0.665
Ir6 0.250 0.623 0.354
Ir7 0.250 0.750 0.227
Ir8 0.250 0.750 0.859
```

The 10 most intense peaks (2θ from 10° to 90°), low angle first:
2θ (°)  d [Å]  I (rel.)
27.4  3.260  9
35.5  2.527  100
40.1  2.248  11
40.2  2.241  15
45.3  2.000  24
46.3  1.959  14
46.4  1.955  13
48.4  1.880  13
68.5  1.370  9
77.3  1.234  11



Calculated powder diffraction line list of Ho5Ge10Ir4 for Cu Ka, from the GGA-PBE geometry in the Materials Project.

Structure:
```
data_Ho5Ge10Ir4
_chemical_formula_sum 'Ho10 Ge20 Ir8'
_space_group_name_H-M_alt 'P 4/m b m'
_space_group_IT_number 127
_space_group_name_Hall '-P 4 2ab'
_cell_length_a 13.842
_cell_length_b 13.842
_cell_length_c 4.360
_cell_angle_alpha 90.00
_cell_angle_beta 90.00
_cell_angle_gamma 90.00
loop_
_atom_site_label
_atom_site_fract_x
_atom_site_fract_y
_atom_site_fract_z
Ho1 0.000 0.000 0.000
Ho2 0.097 0.403 0.000
Ho3 0.204 0.704 0.500
Ge1 0.020 0.851 0.500
Ge2 0.104 0.604 0.000
Ge3 0.134 0.203 0.000
Ir1 0.048 0.773 0.000
```

The 10 most intense peaks (2θ from 10° to 90°), low angle first:
2θ (°)  d [Å]  I (rel.)
20.4  4.360  93
23.2  3.839  49
27.4  3.257  48
33.0  2.715  70
33.7  2.660  42
35.6  2.524  51
38.5  2.337  53
39.1  2.305  100
39.6  2.276  54
41.4  2.180  71



Calculated powder diffraction line list of LiHoGe for Cu Ka, from the GGA-PBE geometry in the Materials Project.

Structure:
```
data_LiHoGe
_chemical_formula_sum 'Li3 Ho3 Ge3'
_space_group_name_H-M_alt 'P -6 2 m'
_space_group_IT_number 189
_space_group_name_Hall 'P -6 -2'
_cell_length_a 7.0407
_cell_length_b 7.0407
_cell_length_c 4.2436
_cell_angle_alpha 90.00
_cell_angle_beta 90.00
_cell_angle_gamma 120.00
loop_
_atom_site_label
_atom_site_fract_x
_atom_site_fract_y
_atom_site_fract_z
Li1 0.0000 0.2334 0.0000
Ho1 0.0000 0.5764 0.5000
Ge1 0.0000 0.0000 0.5000
Ge2 0.3333 0.6667 0.0000
```

The 10 most intense peaks (2θ from 10° to 90°), low angle first:
2θ (°)  d [Å]  I (rel.)
14.5  6.097  26
20.9  4.244  41
25.3  3.520  38
29.3  3.049  41
33.1  2.709  79
36.3  2.476  100
42.6  2.122  22
44.7  2.025  22
54.2  1.691  24
58.8  1.571  31